For DyEr2Mg3Ga3, DFT lattice parameters and positions (GGA-PBE) gives the computed powder diffraction line list in this record (Cu Kα X-rays).
Intensities are scaled so that the largest is 100.

Structural model:
Unit cell a=4.4151 b=12.5620 c=7.2290 alpha=90.00 beta=90.00 gamma=90.00
Space group Amm2 (No. 38)
Unique sites:
Dy  0.0000  0.0000  0.0000 [2 per cell]
Er  0.0000  0.2140  0.3578 [4 per cell]
Mg  0.5000  0.0000  0.3283 [2 per cell]
Mg  0.5000  0.1215  0.6929 [4 per cell]
Ga  0.0000  0.0000  0.5697 [2 per cell]
Ga  0.5000  0.1675  0.0717 [4 per cell]

The 8 most intense peaks (10° ≤ 2θ ≤ 90°), in order of falling intensity:
d/Å	I/Imax
2.556	100
2.800	72
3.135	34
4.415	26
1.616	24
2.208	23
3.620	21
1.619	19



For Cu8Ag, DFT lattice parameters and positions (GGA-PBE) gives the computed powder diffraction line list in this record (Cu Kα X-rays).
Intensities are scaled so that the largest is 100.

Structural model:
Unit cell a=2.6317 b=7.7989 c=10.9627 alpha=90.00 beta=90.00 gamma=90.00
Space group Immm (No. 71)
Unique sites:
Cu  0.0000  0.0000  0.1666 [4 per cell]
Cu  0.0000  0.3278  0.1720 [8 per cell]
Cu  0.0000  0.3394  0.5000 [4 per cell]
Ag  0.0000  0.0000  0.5000 [2 per cell]

The 8 most intense peaks (10° ≤ 2θ ≤ 90°), in order of falling intensity:
d/Å	I/Imax
2.136	100
2.118	95
1.849	62
1.300	43
1.827	29
1.118	21
1.110	20
1.105	10



For BaSrHgSbAs, DFT lattice parameters and positions (GGA-PBE) gives the computed powder diffraction line list in this record (Cu Kα X-rays).
Intensities are scaled so that the largest is 100.

Structural model:
Unit cell a=4.6982 b=18.6462 c=7.5661 alpha=90.00 beta=90.00 gamma=90.00
Space group Cmc2_1 (No. 36)
Unique sites:
Ba  0.0000  0.1914  0.0000 [4 per cell]
Sr  0.0000  0.0203  0.3030 [4 per cell]
Hg  0.0000  0.4055  0.1474 [4 per cell]
Sb  0.0000  0.1702  0.5291 [4 per cell]
As  0.0000  0.4419  0.5184 [4 per cell]

The 8 most intense peaks (10° ≤ 2θ ≤ 90°), in order of falling intensity:
d/Å	I/Imax
2.921	100
2.663	79
5.875	56
2.349	44
3.358	40
2.910	37
3.783	32
2.314	27



For HoOsO4, DFT lattice parameters and positions (GGA-PBE) gives the computed powder diffraction line list in this record (Cu Kα X-rays).
Intensities are scaled so that the largest is 100.

Structural model:
Unit cell a=5.0062 b=5.4099 c=5.2823 alpha=90.00 beta=97.43 gamma=90.00
Space group P2/c (No. 13)
Unique sites:
Ho  0.0000  0.2247  0.2500 [2 per cell]
Os  0.5000  0.3184  0.7500 [2 per cell]
O  0.2459  0.0808  0.6066 [4 per cell]
O  0.2689  0.4407  0.9896 [4 per cell]

The 8 most intense peaks (10° ≤ 2θ ≤ 90°), in order of falling intensity:
d/Å	I/Imax
3.143	100
2.873	78
2.619	27
1.695	21
1.570	21
2.482	20
1.882	19
1.829	19



For InGaCu, DFT lattice parameters and positions (GGA-PBE) gives the computed powder diffraction line list in this record (Cu Kα X-rays).
Intensities are scaled so that the largest is 100.

Structural model:
Unit cell a=4.3256 b=4.3256 c=6.1047 alpha=90.00 beta=90.00 gamma=90.00
Space group P4/nmm (No. 129, origin choice 2)
Unique sites:
In  0.2500  0.7500  0.0000 [2 per cell]
Ga  0.2500  0.7500  0.5000 [2 per cell]
Cu  0.2500  0.2500  0.2789 [2 per cell]

The 8 most intense peaks (10° ≤ 2θ ≤ 90°), in order of falling intensity:
d/Å	I/Imax
2.161	100
3.056	30
1.248	30
3.529	18
1.529	11
1.765	8
1.843	8
1.368	7



For Dy2AlSnPt4, DFT lattice parameters and positions (GGA-PBE) gives the computed powder diffraction line list in this record (Cu Kα X-rays).
Intensities are scaled so that the largest is 100.

Structural model:
Unit cell a=4.4418 b=4.4418 c=9.2034 alpha=90.00 beta=90.00 gamma=120.00
Space group P-3m1 (No. 164)
Unique sites:
Dy  0.3333  0.6667  0.2449 [2 per cell]
Al  0.0000  0.0000  0.0000 [1 per cell]
Sn  0.0000  0.0000  0.5000 [1 per cell]
Pt  0.3333  0.6667  0.5958 [2 per cell]
Pt  0.3333  0.6667  0.9198 [2 per cell]

The 8 most intense peaks (10° ≤ 2θ ≤ 90°), in order of falling intensity:
d/Å	I/Imax
2.398	100
2.221	69
1.630	31
1.314	31
3.847	30
1.282	12
1.262	12
1.425	10



For NbI2BrCl2, DFT lattice parameters and positions (GGA-PBE) gives the computed powder diffraction line list in this record (Cu Kα X-rays).
Intensities are scaled so that the largest is 100.

Structural model:
Unit cell a=7.0218 b=7.6530 c=10.1960 alpha=95.18 beta=107.87 gamma=117.26
Space group P-1 (No. 2)
Unique sites:
Nb  0.1076  0.4993  0.2191 [2 per cell]
I  0.2672  0.2577  0.1459 [2 per cell]
I  0.4894  0.2435  0.5633 [2 per cell]
Br  0.2674  0.7152  0.0386 [2 per cell]
Cl  0.0488  0.2920  0.7580 [2 per cell]
Cl  0.1084  0.7261  0.6774 [2 per cell]

The 8 most intense peaks (10° ≤ 2θ ≤ 90°), in order of falling intensity:
d/Å	I/Imax
3.077	100
6.069	90
2.970	47
4.412	39
6.545	32
3.273	30
3.108	28
1.831	25



For ZnCu2SiSe2S2, DFT lattice parameters and positions (GGA-PBE) gives the computed powder diffraction line list in this record (Cu Kα X-rays).
Intensities are scaled so that the largest is 100.

Structural model:
Unit cell a=12.0829 b=5.4037 c=5.4157 alpha=90.00 beta=116.11 gamma=90.00
Space group C2 (No. 5)
Unique sites:
Zn  0.0000  0.0000  0.0000 [2 per cell]
Cu  0.2501  0.0107  0.7199 [4 per cell]
Si  0.0000  0.5233  0.5000 [2 per cell]
Se  0.1287  0.2772  0.8650 [4 per cell]
S  0.1205  0.7476  0.3869 [4 per cell]

The 8 most intense peaks (10° ≤ 2θ ≤ 90°), in order of falling intensity:
d/Å	I/Imax
3.117	100
3.136	91
1.913	86
1.631	27
1.638	27
1.925	22
1.908	21
1.629	21



For Ag4BrCl3, DFT lattice parameters and positions (GGA-PBE) gives the computed powder diffraction line list in this record (Cu Kα X-rays).
Intensities are scaled so that the largest is 100.

Structural model:
Unit cell a=6.0975 b=6.0975 c=12.2994 alpha=90.00 beta=90.00 gamma=90.00
Space group I-42m (No. 121)
Unique sites:
Ag  0.2433  0.2433  0.3719 [8 per cell]
Br  0.0000  0.0000  0.0000 [2 per cell]
Cl  0.0000  0.0000  0.5000 [2 per cell]
Cl  0.0000  0.5000  0.2500 [4 per cell]

The 8 most intense peaks (10° ≤ 2θ ≤ 90°), in order of falling intensity:
d/Å	I/Imax
3.530	100
2.165	43
1.840	29
2.156	21
1.851	15
1.246	13
1.404	11
3.049	9



For Nb4SnPN2, DFT lattice parameters and positions (GGA-PBE) gives the computed powder diffraction line list in this record (Cu Kα X-rays).
Intensities are scaled so that the largest is 100.

Structural model:
Unit cell a=3.2927 b=3.2927 c=12.5713 alpha=90.00 beta=90.00 gamma=120.00
Space group P-6m2 (No. 187)
Unique sites:
Nb  0.0000  0.0000  0.1372 [2 per cell]
Nb  0.3333  0.6667  0.3147 [2 per cell]
Sn  0.0000  0.0000  0.5000 [1 per cell]
P  0.3333  0.6667  0.0000 [1 per cell]
N  0.6667  0.3333  0.2343 [2 per cell]

The 8 most intense peaks (10° ≤ 2θ ≤ 90°), in order of falling intensity:
d/Å	I/Imax
2.357	100
2.852	30
1.646	27
1.377	25
2.597	20
1.350	17
2.514	11
1.295	11



For LiErGa2Pd4, DFT lattice parameters and positions (GGA-PBE) gives the computed powder diffraction line list in this record (Cu Kα X-rays).
Intensities are scaled so that the largest is 100.

Structural model:
Unit cell a=4.4898 b=4.4898 c=6.3599 alpha=90.00 beta=90.00 gamma=90.00
Space group P4/mmm (No. 123)
Unique sites:
Li  0.0000  0.0000  0.0000 [1 per cell]
Er  0.5000  0.5000  0.5000 [1 per cell]
Ga  0.0000  0.0000  0.5000 [1 per cell]
Ga  0.5000  0.5000  0.0000 [1 per cell]
Pd  0.0000  0.5000  0.2307 [4 per cell]

The 8 most intense peaks (10° ≤ 2θ ≤ 90°), in order of falling intensity:
d/Å	I/Imax
2.246	100
1.297	32
1.587	11
2.841	11
1.123	10
4.490	9
1.590	5
2.595	5



For BaZn2B2O6, DFT lattice parameters and positions (GGA-PBE) gives the computed powder diffraction line list in this record (Cu Kα X-rays).
Intensities are scaled so that the largest is 100.

Structural model:
Unit cell a=4.9264 b=9.2321 c=12.1566 alpha=90.00 beta=90.00 gamma=90.00
Space group P2_12_12_1 (No. 19)
Unique sites:
Ba  0.0291  0.1061  0.2714 [4 per cell]
Zn  0.0473  0.1298  0.6057 [4 per cell]
Zn  0.0507  0.3406  0.0321 [4 per cell]
B  0.0302  0.1661  0.8328 [4 per cell]
B  0.0579  0.4099  0.5068 [4 per cell]
O  0.0465  0.8359  0.9049 [4 per cell]
O  0.0826  0.9375  0.0879 [4 per cell]
O  0.1011  0.5899  0.7474 [4 per cell]
O  0.1222  0.7532  0.5948 [4 per cell]
O  0.1693  0.5416  0.0149 [4 per cell]
O  0.1916  0.8324  0.3410 [4 per cell]

The 8 most intense peaks (10° ≤ 2θ ≤ 90°), in order of falling intensity:
d/Å	I/Imax
2.946	100
3.045	67
3.130	32
1.915	29
4.093	29
2.463	29
3.368	27
4.566	22